Entry 1:
Structure and theoretical powder diffraction line list of K2AlAgBr6 (the GGA-PBE geometry in the Materials Project; a wavelength of 1.5418 Å).
Peak positions follow from Bragg's law for the DFT cell and can differ from measured ones.

Cell and atoms:
Unit cell a=7.611 b=7.611 c=7.611 alpha=60.00 beta=60.00 gamma=60.00
Atoms (fractional coordinates):
K  0.250  0.250  0.250
K  0.750  0.750  0.750
Al  0.000  0.000  0.000
Ag  0.500  0.500  0.500
Br  0.235  0.235  0.765
Br  0.235  0.765  0.235
Br  0.235  0.765  0.765
Br  0.765  0.235  0.235
Br  0.765  0.235  0.765
Br  0.765  0.765  0.235

Most intense lines, 10° ≤ 2θ ≤ 90°, low angle first:
d 5.382, I 58; d 3.107, I 73; d 2.691, I 100; d 2.469, I 16; d 2.407, I 27; d 1.903, I 67; d 1.623, I 27; d 1.554, I 22; d 1.203, I 27; d 1.099, I 20

=====

Entry 2:
Structure and theoretical powder diffraction line list of ZnGa2Te4 (the GGA-PBE geometry in the Materials Project; a wavelength of 1.5418 Å).
Peak positions follow from Bragg's law for the DFT cell and can differ from measured ones.

Cell and atoms:
Unit cell a=6.073 b=6.073 c=12.025 alpha=90.00 beta=90.00 gamma=90.00
Atoms (fractional coordinates):
Zn  0.000  0.000  0.000
Zn  0.500  0.500  0.500
Ga  0.000  0.000  0.500
Ga  0.000  0.500  0.750
Ga  0.500  0.000  0.250
Ga  0.500  0.500  0.000
Te  0.233  0.736  0.367
Te  0.236  0.267  0.133
Te  0.264  0.233  0.633
Te  0.267  0.764  0.867
Te  0.733  0.236  0.867
Te  0.736  0.767  0.633
Te  0.764  0.733  0.133
Te  0.767  0.264  0.367

Most intense lines, 10° ≤ 2θ ≤ 90°, low angle first:
d 3.494, I 100; d 3.036, I 9; d 2.147, I 22; d 2.136, I 43; d 1.829, I 29; d 1.816, I 14; d 1.518, I 7; d 1.387, I 11; d 1.238, I 13; d 1.231, I 6